Diffraction record for YTm4Zn4. The X-ray diffraction stick pattern is theoretical, not measured: it uses a PBE-relaxed structure and Cu Kα, 1.54184 Å.

Crystal structure
abc: 9.018 9.018 5.782
angles: 90.00 90.00 90.00
Element x y z (fractional)
Y  0.250  0.250  0.250
Y  0.750  0.750  0.750
Tm  0.075  0.659  0.138
Tm  0.159  0.925  0.638
Tm  0.341  0.575  0.638
Tm  0.425  0.841  0.138
Tm  0.575  0.159  0.862
Tm  0.659  0.425  0.362
Tm  0.841  0.075  0.362
Tm  0.925  0.341  0.862
Zn  0.024  0.613  0.631
Zn  0.113  0.976  0.131
Zn  0.387  0.524  0.131
Zn  0.476  0.887  0.631
Zn  0.524  0.113  0.369
Zn  0.613  0.476  0.869
Zn  0.887  0.024  0.869
Zn  0.976  0.387  0.369

Top 10 peaks for 2θ from 10° to 90°, low angle first:
two_theta, I (rel.)
13.89, 28
26.95, 52
31.37, 100
32.52, 60
35.08, 19
38.30, 23
43.43, 28
44.95, 33
48.10, 29
52.46, 20

Diffraction record for AcZn2SnPd. The X-ray diffraction stick pattern is theoretical, not measured: it uses a PBE-relaxed structure and Cu Kα, 1.54184 Å.

Crystal structure
abc: 6.454 6.454 6.454
angles: 139.69 138.94 58.90
Element x y z (fractional)
Ac  0.000  0.000  0.000
Zn  0.394  0.394  0.000
Zn  0.752  0.252  0.500
Sn  0.252  0.752  0.500
Pd  0.621  0.621  0.000

Top 10 peaks for 2θ from 10° to 90°, low angle first:
two_theta, I (rel.)
28.12, 16
30.98, 32
31.21, 29
32.40, 100
39.82, 26
40.56, 25
45.02, 16
45.19, 15
51.89, 19
58.15, 17

Diffraction record for RbSr2Tl2Sn2. The X-ray diffraction stick pattern is theoretical, not measured: it uses a PBE-relaxed structure and Cu Kα, 1.54184 Å.

Crystal structure
abc: 10.973 10.973 10.973
angles: 29.45 29.45 29.45
Element x y z (fractional)
Rb  0.000  0.000  0.000
Sr  0.132  0.132  0.132
Sr  0.868  0.868  0.868
Tl  0.436  0.436  0.436
Tl  0.564  0.564  0.564
Sn  0.245  0.245  0.245
Sn  0.755  0.755  0.755

Top 10 peaks for 2θ from 10° to 90°, low angle first:
two_theta, I (rel.)
16.90, 31
25.47, 24
27.10, 61
32.10, 100
34.00, 23
36.49, 29
41.41, 41
50.07, 26
57.22, 20
70.36, 19

Diffraction record for Th6HgAs2P3. The X-ray diffraction stick pattern is theoretical, not measured: it uses a PBE-relaxed structure and Cu Kα, 1.54184 Å.

Crystal structure
abc: 9.460 9.460 8.567
angles: 103.27 103.27 25.52
Element x y z (fractional)
Th  0.002  0.002  0.230
Th  0.327  0.327  0.421
Th  0.336  0.336  0.910
Th  0.664  0.664  0.090
Th  0.673  0.673  0.579
Th  0.998  0.998  0.770
Hg  0.500  0.500  0.500
As  0.168  0.168  0.835
As  0.832  0.832  0.165
P  0.166  0.166  0.333
P  0.500  0.500  0.000
P  0.834  0.834  0.667

Top 10 peaks for 2θ from 10° to 90°, low angle first:
two_theta, I (rel.)
25.58, 23
26.02, 23
29.88, 100
42.19, 13
42.72, 24
42.82, 25
43.30, 13
53.51, 13
62.07, 12
70.48, 11

Diffraction record for Zr4BiB. The X-ray diffraction stick pattern is theoretical, not measured: it uses a PBE-relaxed structure and Cu Kα, 1.54184 Å.

Crystal structure
abc: 5.215 6.151 7.886
angles: 90.00 101.82 90.00
Element x y z (fractional)
Zr  0.115  0.250  0.043
Zr  0.197  0.750  0.318
Zr  0.329  0.508  0.775
Zr  0.329  0.992  0.775
Zr  0.671  0.008  0.225
Zr  0.671  0.492  0.225
Zr  0.803  0.250  0.682
Zr  0.885  0.750  0.957
Bi  0.225  0.250  0.427
Bi  0.775  0.750  0.573
B  0.376  0.750  0.036
B  0.624  0.250  0.964

Top 10 peaks for 2θ from 10° to 90°, low angle first:
two_theta, I (rel.)
22.64, 51
29.79, 42
31.80, 63
34.68, 72
34.80, 100
35.11, 92
35.72, 72
37.21, 56
37.39, 60
37.90, 43

Diffraction record for Na2CaBiF8. The X-ray diffraction stick pattern is theoretical, not measured: it uses a PBE-relaxed structure and Cu Kα, 1.54184 Å.

Crystal structure
abc: 3.898 5.583 7.808
angles: 90.00 90.00 90.00
Element x y z (fractional)
Na  0.000  0.000  0.229
Na  0.000  0.000  0.771
Ca  0.500  0.500  0.000
Bi  0.500  0.500  0.500
F  0.000  0.262  0.000
F  0.000  0.277  0.500
F  0.000  0.723  0.500
F  0.000  0.738  0.000
F  0.500  0.264  0.269
F  0.500  0.264  0.731
F  0.500  0.736  0.269
F  0.500  0.736  0.731

Top 10 peaks for 2θ from 10° to 90°, low angle first:
two_theta, I (rel.)
11.33, 57
15.87, 50
19.55, 39
22.79, 37
25.54, 22
27.90, 100
30.21, 22
46.27, 54
46.56, 27
55.16, 29

Diffraction record for TaPt2Se. The X-ray diffraction stick pattern is theoretical, not measured: it uses a PBE-relaxed structure and Cu Kα, 1.54184 Å.

Crystal structure
abc: 2.982 3.397 6.634
angles: 90.00 90.00 90.00
Element x y z (fractional)
Ta  0.000  0.000  0.000
Pt  0.000  0.000  0.506
Pt  0.500  0.500  0.240
Se  0.500  0.500  0.762

Top 10 peaks for 2θ from 10° to 90°, low angle first:
two_theta, I (rel.)
13.35, 16
37.91, 100
40.25, 86
40.69, 82
53.99, 18
55.40, 16
62.28, 13
69.75, 35
70.66, 32
75.28, 27

Diffraction record for KTlBiPd. The X-ray diffraction stick pattern is theoretical, not measured: it uses a PBE-relaxed structure and Cu Kα, 1.54184 Å.

Crystal structure
abc: 7.227 7.227 7.227
angles: 37.91 37.91 37.91
Element x y z (fractional)
K  0.000  0.000  0.000
Tl  0.217  0.217  0.217
Bi  0.452  0.452  0.452
Pd  0.816  0.816  0.816

Top 10 peaks for 2θ from 10° to 90°, low angle first:
two_theta, I (rel.)
13.22, 100
22.31, 28
28.23, 62
31.29, 93
38.34, 79
40.73, 40
42.29, 35
50.29, 25
56.91, 23
64.96, 23

Diffraction record for Ac3La8Nd2. The X-ray diffraction stick pattern is theoretical, not measured: it uses a PBE-relaxed structure and Cu Kα, 1.54184 Å.

Crystal structure
abc: 9.361 9.361 6.288
angles: 106.39 106.39 79.98
Element x y z (fractional)
Ac  0.000  0.000  0.000
Ac  0.247  0.753  0.500
Ac  0.753  0.247  0.500
La  0.057  0.574  0.815
La  0.168  0.168  0.567
La  0.426  0.943  0.185
La  0.428  0.428  0.753
La  0.572  0.572  0.247
La  0.574  0.057  0.815
La  0.832  0.832  0.433
La  0.943  0.426  0.185
Nd  0.311  0.311  0.148
Nd  0.689  0.689  0.852

Top 10 peaks for 2θ from 10° to 90°, low angle first:
two_theta, I (rel.)
27.97, 47
28.47, 15
29.50, 100
29.71, 86
30.32, 25
32.20, 23
36.61, 14
37.11, 16
51.10, 12
52.58, 20

Diffraction record for CsRb2O8. The X-ray diffraction stick pattern is theoretical, not measured: it uses a PBE-relaxed structure and Cu Kα, 1.54184 Å.

Crystal structure
abc: 5.513 7.007 7.010
angles: 113.42 96.28 96.28
Element x y z (fractional)
Cs  0.000  0.000  0.000
Rb  0.499  0.306  0.694
Rb  0.501  0.694  0.306
O  0.044  0.506  0.918
O  0.045  0.918  0.506
O  0.108  0.480  0.480
O  0.500  0.058  0.943
O  0.500  0.942  0.057
O  0.892  0.520  0.520
O  0.955  0.082  0.494
O  0.956  0.494  0.082

Top 10 peaks for 2θ from 10° to 90°, low angle first:
two_theta, I (rel.)
19.72, 36
22.39, 78
23.60, 79
25.69, 100
30.20, 79
33.17, 55
35.15, 61
40.40, 43
42.81, 40
44.75, 28

Diffraction record for Nd11Cd4In9. The X-ray diffraction stick pattern is theoretical, not measured: it uses a PBE-relaxed structure and Cu Kα, 1.54184 Å.

Crystal structure
abc: 13.879 13.879 3.863
angles: 90.00 90.00 112.83
Element x y z (fractional)
Nd  0.000  0.000  0.000
Nd  0.057  0.410  0.000
Nd  0.163  0.837  0.000
Nd  0.282  0.282  0.000
Nd  0.362  0.638  0.000
Nd  0.410  0.057  0.000
Nd  0.590  0.943  0.000
Nd  0.638  0.362  0.000
Nd  0.718  0.718  0.000
Nd  0.837  0.163  0.000
Nd  0.943  0.590  0.000
Cd  0.251  0.447  0.500
Cd  0.447  0.251  0.500
Cd  0.553  0.749  0.500
Cd  0.749  0.553  0.500
In  0.061  0.213  0.500
In  0.158  0.631  0.500
In  0.213  0.061  0.500
In  0.369  0.842  0.500
In  0.500  0.500  0.500
In  0.631  0.158  0.500
In  0.787  0.939  0.500
In  0.842  0.369  0.500
In  0.939  0.787  0.500

Top 10 peaks for 2θ from 10° to 90°, low angle first:
two_theta, I (rel.)
30.16, 12
31.24, 11
32.86, 100
32.93, 47
34.95, 7
47.04, 14
47.36, 7
58.64, 24
58.81, 8
78.29, 8

Diffraction record for LaBi3Pd3. The X-ray diffraction stick pattern is theoretical, not measured: it uses a PBE-relaxed structure and Cu Kα, 1.54184 Å.

Crystal structure
abc: 9.252 9.252 4.775
angles: 90.00 90.00 120.00
Element x y z (fractional)
La  0.333  0.667  0.250
La  0.667  0.333  0.750
Bi  0.038  0.745  0.750
Bi  0.255  0.293  0.750
Bi  0.293  0.038  0.250
Bi  0.707  0.962  0.750
Bi  0.745  0.707  0.250
Bi  0.962  0.255  0.250
Pd  0.072  0.466  0.750
Pd  0.394  0.928  0.750
Pd  0.466  0.394  0.250
Pd  0.534  0.606  0.750
Pd  0.606  0.072  0.250
Pd  0.928  0.534  0.250

Top 10 peaks for 2θ from 10° to 90°, low angle first:
two_theta, I (rel.)
19.19, 20
26.83, 35
29.09, 40
33.55, 24
35.09, 100
37.67, 36
40.60, 24
53.41, 17
56.58, 18
66.33, 19

Number 5 is which compound? Zr4BiB